# 1
Theoretical X-ray diffraction stick pattern of CoIrRh3 for a wavelength of 1.5418 Å, from the PBE geometry in Alexandria.
Neutral-atom scattering factors, no anomalous dispersion.

Cell and atoms:
abc: 8.3681 2.6108 6.6709
angles: 90.00 90.00 90.00
Space group Pmma (No. 51)
Asymmetric unit:
Co1 0.2500 0.0000 0.0759 (multiplicity 2)
Ir1 0.2500 0.5000 0.7317 (multiplicity 2)
Rh1 0.0000 0.5000 0.0000 (multiplicity 2)
Rh2 0.0994 0.5000 0.3655 (multiplicity 4)

Most intense lines, 2θ from 10° to 80°, low angle first:
34.36 deg, I 1000, (0 1 0)
34.86 deg, I 582, (3 0 1)
40.57 deg, I 246, (0 0 3)
42.04 deg, I 346, (1 0 3)
42.24 deg, I 305, (3 0 2)
45.43 deg, I 275, (4 0 1)
49.39 deg, I 455, (2 1 2)
49.75 deg, I 594, (3 1 1)
54.18 deg, I 189, (0 1 3)
72.44 deg, I 238, (0 2 0)

# 2
Theoretical X-ray diffraction stick pattern of Hg2Pd6Pt for a wavelength of 1.5418 Å, from the PBE geometry in Alexandria.
Neutral-atom scattering factors, no anomalous dispersion.

Cell and atoms:
abc: 4.1148 11.6785 12.3948
angles: 90.00 90.00 90.00
Space group Fmmm (No. 69)
Asymmetric unit:
Hg1 0.0000 0.0000 0.1616 (multiplicity 8)
Pd1 0.0000 0.1693 0.3336 (multiplicity 16)
Pd2 0.0000 0.1699 0.0000 (multiplicity 8)
Pt1 0.0000 0.0000 0.5000 (multiplicity 4)

Most intense lines, 2θ from 10° to 80°, low angle first:
15.17 deg, I 85, (0 2 0)
38.58 deg, I 1000, (1 3 3)
43.82 deg, I 173, (0 0 6)
44.01 deg, I 173, (2 0 0)
46.66 deg, I 157, (0 6 0)
63.85 deg, I 113, (2 0 6)
65.94 deg, I 102, (0 6 6)
66.08 deg, I 111, (2 6 0)
77.02 deg, I 129, (1 3 9)
77.28 deg, I 131, (3 3 3)

# 3
Theoretical X-ray diffraction stick pattern of BaLi2PaI8 for a wavelength of 1.5418 Å, from the PBE geometry in Alexandria.
Neutral-atom scattering factors, no anomalous dispersion.

Cell and atoms:
abc: 7.2141 7.2141 32.9203
angles: 90.00 90.00 120.00
Space group R32 (No. 155, hexagonal axes)
Asymmetric unit:
Ba1 0.0000 0.0000 0.0000 (multiplicity 3)
Li1 0.0000 0.0000 0.2496 (multiplicity 6)
Pa1 0.0000 0.0000 0.5000 (multiplicity 3)
I1 0.0000 0.0000 0.3299 (multiplicity 6)
I2 0.0038 0.3685 0.7731 (multiplicity 18)

Most intense lines, 2θ from 10° to 80°, low angle first:
15.17 deg, I 236, (0 1 2)
24.33 deg, I 254, (0 0 9)
24.68 deg, I 427, (1 1 0)
26.00 deg, I 301, (1 1 3)
29.64 deg, I 1000, (1 1 6)
34.93 deg, I 303, (1 1 9)
41.35 deg, I 219, (1 1 12)
43.45 deg, I 334, (3 0 0)
50.42 deg, I 160, (3 0 9)
53.48 deg, I 167, (2 2 6)

# 4
Theoretical X-ray diffraction stick pattern of NdHo6Sc for a wavelength of 1.5418 Å, from the PBE geometry in Alexandria.
Neutral-atom scattering factors, no anomalous dispersion.

Cell and atoms:
abc: 4.9811 4.9811 9.8974
angles: 90.00 90.00 90.00
Space group P4/mmm (No. 123)
Asymmetric unit:
Nd1 0.0000 0.0000 0.0000 (multiplicity 1)
Ho1 0.0000 0.5000 0.2572 (multiplicity 4)
Ho2 0.5000 0.5000 0.0000 (multiplicity 1)
Ho3 0.5000 0.5000 0.5000 (multiplicity 1)
Sc1 0.0000 0.0000 0.5000 (multiplicity 1)

Most intense lines, 2θ from 10° to 80°, low angle first:
25.34 deg, I 34, (1 1 0)
31.17 deg, I 1000, (1 1 2)
36.06 deg, I 340, (2 0 0)
36.31 deg, I 164, (0 0 4)
51.92 deg, I 120, (2 2 0)
52.10 deg, I 234, (2 0 4)
61.81 deg, I 283, (3 1 2)
62.14 deg, I 134, (1 1 6)
65.00 deg, I 120, (2 2 4)
76.50 deg, I 38, (4 0 0)

# 5
Theoretical X-ray diffraction stick pattern of MgSn3Te for a wavelength of 1.5418 Å, from the PBE geometry in Alexandria.
Neutral-atom scattering factors, no anomalous dispersion.

Cell and atoms:
abc: 5.4340 5.4340 5.4340
angles: 90.00 90.00 90.00
Space group Pm-3m (No. 221)
Asymmetric unit:
Mg1 0.0000 0.0000 0.0000 (multiplicity 1)
Sn1 0.0000 0.0000 0.5000 (multiplicity 3)
Te1 0.5000 0.5000 0.5000 (multiplicity 1)

Most intense lines, 2θ from 10° to 80°, low angle first:
16.31 deg, I 7, (1 0 0)
23.15 deg, I 11, (1 1 0)
28.45 deg, I 1000, (1 1 1)
32.97 deg, I 635, (2 0 0)
47.31 deg, I 468, (2 2 0)
56.14 deg, I 463, (3 1 1)
58.87 deg, I 164, (2 2 2)
69.15 deg, I 77, (4 0 0)
76.40 deg, I 195, (3 3 1)
78.76 deg, I 219, (4 2 0)

# 6
Theoretical X-ray diffraction stick pattern of Pm2SiF for a wavelength of 1.5418 Å, from the PBE geometry in Alexandria.
Neutral-atom scattering factors, no anomalous dispersion.

Cell and atoms:
abc: 6.8791 7.0986 8.1245
angles: 90.00 107.51 90.00
Space group P2_1/c (No. 14)
Asymmetric unit:
Pm1 0.0117 0.0164 0.2427 (multiplicity 4)
Pm2 0.4475 0.2053 0.6165 (multiplicity 4)
Si1 0.2251 0.7153 0.0530 (multiplicity 4)
F1 0.2403 0.2158 0.8215 (multiplicity 4)

Most intense lines, 2θ from 10° to 80°, low angle first:
22.92 deg, I 345, (0 0 2)
26.17 deg, I 429, (0 1 2)
27.19 deg, I 393, (2 0 0)
28.59 deg, I 1000, (1 2 0)
29.95 deg, I 456, (2 0 -2)
30.11 deg, I 289, (1 0 2)
32.54 deg, I 293, (2 1 -2)
32.71 deg, I 295, (1 1 2)
34.24 deg, I 548, (1 2 -2)
53.95 deg, I 283, (3 0 2)